This entry pairs a crystal structure of Pr2Sm2CI4Cl with its computed X-ray diffraction stick pattern. Radiation: Cu Kα X-rays. Structure: DFT lattice parameters and positions (PBE).

Cell and atoms:
a b c (Å): 19.457 4.032 8.450
angles (deg): 90.00 101.96 90.00
Space group C2/m (No. 12)
Asymmetric unit:
Pr (0.001, 0.000, 0.289) x4
Sm (0.130, 0.500, 0.566) x4
C (0.000, 0.500, 0.500) x2
I (0.165, 0.000, 0.851) x4
I (0.171, 0.000, 0.317) x4
Cl (0.000, 0.500, 0.000) x2

Peak list (6 most intense, 5 to 70 degrees two-theta, low angle first)
2theta  I_rel
10.7  36
28.1  42
30.7  100
32.3  34
41.9  26
42.2  24